For PdW2Se6, the GGA-PBE geometry in OQMD gives the calculated X-ray powder pattern in this record (λ = 1.5418 Å (Cu Kα)).

Structure:
```
data_PdW2Se6
_chemical_formula_sum 'Pd2 W4 Se12'
_cell_length_a 13.1322
_cell_length_b 3.3106
_cell_length_c 10.5241
_cell_angle_alpha 90.00
_cell_angle_beta 118.63
_cell_angle_gamma 90.00
_symmetry_space_group_name_H-M 'C 1 2/m 1'
_symmetry_Int_Tables_number 12
_symmetry_space_group_name_Hall '-C 2y'
loop_
_atom_site_label
_atom_site_type_symbol
_atom_site_fract_x
_atom_site_fract_y
_atom_site_fract_z
Pd1 Pd 0.0000 0.0000 0.0000
W1 W 0.1725 0.5000 0.2871
Se1 Se 0.0102 0.0000 0.2429
Se2 Se 0.1640 0.5000 0.5380
Se3 Se 0.2170 0.0000 0.1342
```

Main lines, in order of rising 2θ (15° ≤ 2θ ≤ 90°):
- 2θ 30.9, rel. 52, (1 1 1)
- 2θ 34.2, rel. 40, (2 0 -4)
- 2θ 35.8, rel. 100, (3 1 0)
- 2θ 36.9, rel. 41, (4 0 1)
- 2θ 37.9, rel. 33, (1 1 -3)
- 2θ 44.2, rel. 58, (3 1 -4)
- 2θ 45.0, rel. 50, (5 1 -1)
- 2θ 45.3, rel. 32, (5 1 -3)


For SiPd4, the GGA-PBE geometry in OQMD gives the calculated X-ray powder pattern in this record (λ = 1.5418 Å (Cu Kα)).

Structure:
```
data_SiPd4
_chemical_formula_sum 'Si2 Pd8'
_cell_length_a 5.5804
_cell_length_b 5.5804
_cell_length_c 4.9139
_cell_angle_alpha 90.00
_cell_angle_beta 90.00
_cell_angle_gamma 90.00
_symmetry_space_group_name_H-M 'P 4/n b m'
_symmetry_Int_Tables_number 125
loop_
_symmetry_equiv_pos_as_xyz
'x,y,z'
'-x,-y,-z'
'-y+1/2,x,z'
'y+1/2,-x,-z'
'-x+1/2,-y+1/2,z'
'x+1/2,y+1/2,-z'
'y,-x+1/2,z'
'-y,x+1/2,-z'
'x,-y+1/2,-z'
'-x,y+1/2,z'
'-y+1/2,-x+1/2,-z'
'y+1/2,x+1/2,z'
'-x+1/2,y,-z'
'x+1/2,-y,z'
'y,x,-z'
'-y,-x,z'
loop_
_atom_site_label
_atom_site_type_symbol
_atom_site_fract_x
_atom_site_fract_y
_atom_site_fract_z
Si1 Si 0.2500 0.2500 0.0000
Pd1 Pd 0.0789 0.5789 0.2586
```

Main lines, in order of rising 2θ (15° ≤ 2θ ≤ 90°):
- 2θ 32.1, rel. 21, (2 0 0)
- 2θ 36.6, rel. 27, (0 0 2)
- 2θ 40.5, rel. 100, (2 1 1)
- 2θ 49.4, rel. 19, (2 0 2)
- 2θ 51.8, rel. 13, (3 1 0)
- 2θ 68.5, rel. 20, (2 1 3)
- 2θ 72.4, rel. 21, (4 1 1)
- 2θ 83.3, rel. 12, (3 3 2)


For Si2Pd9, the GGA-PBE geometry in OQMD gives the calculated X-ray powder pattern in this record (λ = 1.5418 Å (Cu Kα)).

Structure:
```
data_Si2Pd9
_chemical_formula_sum 'Si8 Pd36'
_cell_length_a 9.1205
_cell_length_b 7.4772
_cell_length_c 9.4838
_cell_angle_alpha 90.00
_cell_angle_beta 90.00
_cell_angle_gamma 90.00
_symmetry_space_group_name_H-M 'P n m a'
_symmetry_Int_Tables_number 62
_symmetry_space_group_name_Hall '-P 2ac 2n'
loop_
_atom_site_label
_atom_site_type_symbol
_atom_site_fract_x
_atom_site_fract_y
_atom_site_fract_z
Si1 Si 0.1330 0.2500 0.2123
Si2 Si 0.2275 0.7500 0.3219
Pd1 Pd 0.0501 0.2500 0.6649
Pd2 Pd 0.0588 0.2500 0.9706
Pd3 Pd 0.1027 0.5658 0.8191
Pd4 Pd 0.1119 0.0573 0.4070
Pd5 Pd 0.1481 0.7500 0.5676
Pd6 Pd 0.1820 0.5591 0.1215
```

Main lines, in order of rising 2θ (15° ≤ 2θ ≤ 90°):
- 2θ 32.3, rel. 26, (1 1 3)
- 2θ 35.1, rel. 22, (3 0 2)
- 2θ 38.6, rel. 100, (1 3 1)
- 2θ 39.5, rel. 21, (4 0 0)
- 2θ 41.2, rel. 60, (1 1 4)
- 2θ 42.4, rel. 80, (2 2 3)
- 2θ 42.8, rel. 43, (3 2 2)
- 2θ 43.0, rel. 24, (3 1 3)


For Si2Pd9, the GGA-PBE geometry in OQMD gives the calculated X-ray powder pattern in this record (λ = 1.5418 Å (Cu Kα)).

Structure:
```
data_Si2Pd9
_chemical_formula_sum 'Si8 Pd36'
_cell_length_a 8.8389
_cell_length_b 8.8389
_cell_length_c 8.8389
_cell_angle_alpha 90.00
_cell_angle_beta 90.00
_cell_angle_gamma 90.00
_symmetry_space_group_name_H-M 'I -4 3 m'
_symmetry_Int_Tables_number 217
_symmetry_space_group_name_Hall 'I -4 2 3'
loop_
_atom_site_label
_atom_site_type_symbol
_atom_site_fract_x
_atom_site_fract_y
_atom_site_fract_z
Si1 Si 0.1892 0.1892 0.8108
Pd1 Pd 0.0000 0.0000 0.2473
Pd2 Pd 0.0439 0.3164 0.3164
```

Main lines, in order of rising 2θ (15° ≤ 2θ ≤ 90°):
- 2θ 28.6, rel. 26, (2 2 0)
- 2θ 32.0, rel. 15, (3 1 0)
- 2θ 38.1, rel. 76, (3 2 1)
- 2θ 40.8, rel. 14, (4 0 0)
- 2θ 43.4, rel. 100, (3 3 0)
- 2θ 63.1, rel. 12, (6 0 0)
- 2θ 65.0, rel. 14, (6 1 1)
- 2θ 70.7, rel. 22, (6 2 2)


For Sm4Si3Pd4, the GGA-PBE geometry in OQMD gives the calculated X-ray powder pattern in this record (λ = 1.5418 Å (Cu Kα)).

Structure:
```
data_Sm4Si3Pd4
_chemical_formula_sum 'Sm16 Si12 Pd16'
_cell_length_a 21.2543
_cell_length_b 5.5915
_cell_length_c 7.9327
_cell_angle_alpha 90.00
_cell_angle_beta 108.92
_cell_angle_gamma 90.00
_symmetry_space_group_name_H-M 'C 1 2/c 1'
_symmetry_Int_Tables_number 15
_symmetry_space_group_name_Hall '-C 2yc'
loop_
_atom_site_label
_atom_site_type_symbol
_atom_site_fract_x
_atom_site_fract_y
_atom_site_fract_z
Sm1 Sm 0.0676 0.1327 0.1674
Sm2 Sm 0.1696 0.3753 0.8952
Si1 Si 0.0000 0.3390 0.7500
Si2 Si 0.1706 0.1231 0.5467
Pd1 Pd 0.0656 0.3723 0.5150
Pd2 Pd 0.2244 0.1410 0.3006
```

Main lines, in order of rising 2θ (15° ≤ 2θ ≤ 90°):
- 2θ 30.2, rel. 31, (1 1 2)
- 2θ 33.6, rel. 35, (7 1 -1)
- 2θ 34.2, rel. 100, (4 0 2)
- 2θ 35.7, rel. 23, (8 0 0)
- 2θ 36.4, rel. 41, (7 1 -2)
- 2θ 36.8, rel. 35, (4 2 -1)
- 2θ 37.7, rel. 54, (3 1 -3)
- 2θ 40.6, rel. 43, (4 2 1)


For SmTm2Si4Pd4, the GGA-PBE geometry in OQMD gives the calculated X-ray powder pattern in this record (λ = 1.5418 Å (Cu Kα)).

Structure:
```
data_SmTm2Si4Pd4
_chemical_formula_sum 'Sm2 Tm4 Si8 Pd8'
_cell_length_a 4.0913
_cell_length_b 6.9920
_cell_length_c 13.6468
_cell_angle_alpha 90.00
_cell_angle_beta 90.00
_cell_angle_gamma 90.00
_symmetry_space_group_name_H-M 'I m m m'
_symmetry_Int_Tables_number 71
_symmetry_space_group_name_Hall '-I 2 2'
loop_
_atom_site_label
_atom_site_type_symbol
_atom_site_fract_x
_atom_site_fract_y
_atom_site_fract_z
Sm1 Sm 0.0000 0.0000 0.0000
Tm1 Tm 0.0000 0.5000 0.1244
Si1 Si 0.0000 0.0000 0.2202
Si2 Si 0.0000 0.1789 0.5000
Pd1 Pd 0.0000 0.2975 0.3243
```

Main lines, in order of rising 2θ (15° ≤ 2θ ≤ 90°):
- 2θ 34.4, rel. 100, (1 2 1)
- 2θ 35.3, rel. 33, (0 1 5)
- 2θ 36.6, rel. 82, (1 1 4)
- 2θ 39.3, rel. 40, (1 2 3)
- 2θ 39.7, rel. 33, (0 0 6)
- 2θ 43.6, rel. 40, (0 3 3)
- 2θ 44.3, rel. 37, (2 0 0)
- 2θ 63.9, rel. 25, (2 3 3)


For TbSi4Pd3, the GGA-PBE geometry in OQMD gives the calculated X-ray powder pattern in this record (λ = 1.5418 Å (Cu Kα)).

Structure:
```
data_TbSi4Pd3
_chemical_formula_sum 'Tb1 Si4 Pd3'
_cell_length_a 4.3801
_cell_length_b 4.1760
_cell_length_c 7.3579
_cell_angle_alpha 90.00
_cell_angle_beta 91.56
_cell_angle_gamma 90.00
_symmetry_space_group_name_H-M 'P 1 m 1'
_symmetry_Int_Tables_number 6
_symmetry_space_group_name_Hall 'P -2y'
loop_
_atom_site_label
_atom_site_type_symbol
_atom_site_fract_x
_atom_site_fract_y
_atom_site_fract_z
Tb1 Tb 0.0000 0.0000 0.0000
Si1 Si 0.4311 0.5000 0.8270
Si2 Si 0.5887 0.0000 0.3151
Si3 Si 0.5897 0.0000 0.6572
Si4 Si 0.9766 0.5000 0.3105
Pd1 Pd 0.1146 0.0000 0.4681
Pd2 Pd 0.4756 0.5000 0.1502
Pd3 Pd 0.9191 0.5000 0.6811
```

Main lines, in order of rising 2θ (15° ≤ 2θ ≤ 90°):
- 2θ 20.3, rel. 31, (1 0 0)
- 2θ 29.6, rel. 34, (1 1 0)
- 2θ 31.8, rel. 57, (1 1 -1)
- 2θ 32.2, rel. 68, (1 0 2)
- 2θ 32.4, rel. 100, (0 1 2)
- 2θ 38.2, rel. 34, (1 1 -2)
- 2θ 38.9, rel. 32, (1 1 2)
- 2θ 43.3, rel. 47, (0 2 0)


For TbTm2Si4Pd4, the GGA-PBE geometry in OQMD gives the calculated X-ray powder pattern in this record (λ = 1.5418 Å (Cu Kα)).

Structure:
```
data_TbTm2Si4Pd4
_chemical_formula_sum 'Tb2 Tm4 Si8 Pd8'
_cell_length_a 4.0873
_cell_length_b 6.9717
_cell_length_c 13.5931
_cell_angle_alpha 90.00
_cell_angle_beta 90.00
_cell_angle_gamma 90.00
_symmetry_space_group_name_H-M 'I m m m'
_symmetry_Int_Tables_number 71
_symmetry_space_group_name_Hall '-I 2 2'
loop_
_atom_site_label
_atom_site_type_symbol
_atom_site_fract_x
_atom_site_fract_y
_atom_site_fract_z
Tb1 Tb 0.0000 0.0000 0.0000
Tm1 Tm 0.0000 0.5000 0.1246
Si1 Si 0.0000 0.0000 0.2201
Si2 Si 0.0000 0.1800 0.5000
Pd1 Pd 0.0000 0.2983 0.3254
```

Main lines, in order of rising 2θ (15° ≤ 2θ ≤ 90°):
- 2θ 34.5, rel. 100, (1 2 1)
- 2θ 35.4, rel. 33, (0 1 5)
- 2θ 36.7, rel. 83, (1 1 4)
- 2θ 39.4, rel. 37, (1 2 3)
- 2θ 39.8, rel. 31, (0 0 6)
- 2θ 43.8, rel. 40, (0 3 3)
- 2θ 44.3, rel. 36, (2 0 0)
- 2θ 64.1, rel. 26, (2 3 3)


For TbYSi2Pd4, the GGA-PBE geometry in OQMD gives the calculated X-ray powder pattern in this record (λ = 1.5418 Å (Cu Kα)).

Structure:
```
data_TbYSi2Pd4
_chemical_formula_sum 'Tb2 Y2 Si4 Pd8'
_cell_length_a 7.1169
_cell_length_b 3.8910
_cell_length_c 10.2060
_cell_angle_alpha 90.00
_cell_angle_beta 90.00
_cell_angle_gamma 90.00
_symmetry_space_group_name_H-M 'A m m 2'
_symmetry_Int_Tables_number 38
_symmetry_space_group_name_Hall 'A 2 -2'
loop_
_atom_site_label
_atom_site_type_symbol
_atom_site_fract_x
_atom_site_fract_y
_atom_site_fract_z
Tb1 Tb 0.0000 0.0000 0.0000
Y1 Y 0.5000 0.0000 0.1083
Si1 Si 0.0000 0.0000 0.2832
Si2 Si 0.5000 0.0000 0.8250
Pd1 Pd 0.1965 0.0000 0.7004
Pd2 Pd 0.3034 0.0000 0.4079
```

Main lines, in order of rising 2θ (15° ≤ 2θ ≤ 90°):
- 2θ 27.5, rel. 22, (1 1 1)
- 2θ 35.0, rel. 67, (0 1 3)
- 2θ 35.3, rel. 100, (2 1 1)
- 2θ 37.3, rel. 44, (1 1 3)
- 2θ 37.4, rel. 25, (1 0 4)
- 2θ 42.0, rel. 38, (3 0 2)
- 2θ 46.7, rel. 31, (0 2 0)
- 2θ 64.8, rel. 26, (3 1 5)


For YTm2Si4Pd4, the GGA-PBE geometry in OQMD gives the calculated X-ray powder pattern in this record (λ = 1.5418 Å (Cu Kα)).

Structure:
```
data_YTm2Si4Pd4
_chemical_formula_sum 'Y2 Tm4 Si8 Pd8'
_cell_length_a 4.0864
_cell_length_b 6.9708
_cell_length_c 13.6012
_cell_angle_alpha 90.00
_cell_angle_beta 90.00
_cell_angle_gamma 90.00
_symmetry_space_group_name_H-M 'I m m m'
_symmetry_Int_Tables_number 71
_symmetry_space_group_name_Hall '-I 2 2'
loop_
_atom_site_label
_atom_site_type_symbol
_atom_site_fract_x
_atom_site_fract_y
_atom_site_fract_z
Y1 Y 0.0000 0.0000 0.0000
Tm1 Tm 0.0000 0.5000 0.1244
Si1 Si 0.0000 0.0000 0.2198
Si2 Si 0.0000 0.1807 0.5000
Pd1 Pd 0.0000 0.2982 0.3252
```

Main lines, in order of rising 2θ (15° ≤ 2θ ≤ 90°):
- 2θ 25.3, rel. 32, (1 1 0)
- 2θ 34.5, rel. 100, (1 2 1)
- 2θ 35.4, rel. 32, (0 1 5)
- 2θ 36.7, rel. 82, (1 1 4)
- 2θ 39.4, rel. 64, (1 2 3)
- 2θ 39.8, rel. 41, (0 0 6)
- 2θ 43.8, rel. 42, (0 3 3)
- 2θ 44.3, rel. 40, (2 0 0)


For YSiPd, the GGA-PBE geometry in OQMD gives the calculated X-ray powder pattern in this record (λ = 1.5418 Å (Cu Kα)).

Structure:
```
data_YSiPd
_chemical_formula_sum 'Y8 Si8 Pd8'
_cell_length_a 4.3299
_cell_length_b 13.9638
_cell_length_c 7.4651
_cell_angle_alpha 90.00
_cell_angle_beta 90.00
_cell_angle_gamma 90.00
_symmetry_space_group_name_H-M 'P m m n'
_symmetry_Int_Tables_number 59
loop_
_symmetry_equiv_pos_as_xyz
'x,y,z'
'-x,-y,-z'
'-x+1/2,-y+1/2,z'
'x+1/2,y+1/2,-z'
'x+1/2,-y,-z'
'-x+1/2,y,z'
'-x,y+1/2,-z'
'x,-y+1/2,z'
loop_
_atom_site_label
_atom_site_type_symbol
_atom_site_fract_x
_atom_site_fract_y
_atom_site_fract_z
Y1 Y 0.2500 0.0014 0.2096
Y2 Y 0.2500 0.2500 0.2995
Y3 Y 0.2500 0.7500 0.2918
Si1 Si 0.2500 0.1036 0.5913
Si2 Si 0.2500 0.6568 0.9096
Pd1 Pd 0.2500 0.1421 0.9227
Pd2 Pd 0.2500 0.5948 0.5815
```

Main lines, in order of rising 2θ (15° ≤ 2θ ≤ 90°):
- 2θ 24.6, rel. 26, (1 1 1)
- 2θ 30.7, rel. 21, (1 3 1)
- 2θ 34.2, rel. 26, (1 2 2)
- 2θ 35.2, rel. 100, (1 4 1)
- 2θ 40.6, rel. 15, (0 6 1)
- 2θ 41.7, rel. 27, (2 0 0)
- 2θ 41.9, rel. 41, (1 0 3)
- 2θ 55.7, rel. 16, (2 4 2)


For ZrSi2Pd, the GGA-PBE geometry in OQMD gives the calculated X-ray powder pattern in this record (λ = 1.5418 Å (Cu Kα)).

Structure:
```
data_ZrSi2Pd
_chemical_formula_sum 'Zr2 Si4 Pd2'
_cell_length_a 4.0134
_cell_length_b 5.9504
_cell_length_c 5.3152
_cell_angle_alpha 90.00
_cell_angle_beta 90.00
_cell_angle_gamma 90.00
_symmetry_space_group_name_H-M 'P m n 21'
_symmetry_Int_Tables_number 31
_symmetry_space_group_name_Hall 'P 2ac -2'
loop_
_atom_site_label
_atom_site_type_symbol
_atom_site_fract_x
_atom_site_fract_y
_atom_site_fract_z
Zr1 Zr 0.0000 0.0882 0.0000
Si1 Si 0.0000 0.2303 0.4947
Si2 Si 0.0000 0.6592 0.2761
Pd1 Pd 0.0000 0.5972 0.7746
```

Main lines, in order of rising 2θ (15° ≤ 2θ ≤ 90°):
- 2θ 27.9, rel. 56, (1 0 1)
- 2θ 31.7, rel. 63, (1 1 1)
- 2θ 34.5, rel. 35, (0 2 1)
- 2θ 37.0, rel. 75, (0 1 2)
- 2θ 37.6, rel. 100, (1 2 0)
- 2θ 43.6, rel. 71, (1 1 2)
- 2θ 45.2, rel. 41, (2 0 0)
- 2θ 59.8, rel. 36, (2 1 2)